# 1
Structure and calculated powder XRD pattern of ZrSc2B (DFT lattice parameters and positions (GGA-PBE); Cu Ka).
Peak positions follow from Bragg's law for the DFT cell and can differ from measured ones.

The 10 most intense peaks (10° ≤ 2θ ≤ 90°), low angle first:
two_theta  I (rel.)
23.6  26
27.3  26
38.9  100
46.0  13
48.2  7
56.3  16
61.8  5
63.6  9
70.5  31
83.6  10

Cell and atoms:
```
ZrSc2B
1.0
6.5403 0.0000 0.0000
0.0000 6.5403 0.0000
0.0000 0.0000 6.5403
Zr Sc B
4 8 4
Cartesian
0.0000 0.0000 0.0000 Zr
0.0000 3.2701 3.2701 Zr
3.2701 0.0000 3.2701 Zr
3.2701 3.2701 0.0000 Zr
0.0000 0.0000 3.2701 Sc
0.0000 3.2701 0.0000 Sc
1.6351 1.6351 1.6351 Sc
1.6351 4.9052 4.9052 Sc
3.2701 0.0000 0.0000 Sc
3.2701 3.2701 3.2701 Sc
4.9052 1.6351 4.9052 Sc
4.9052 4.9052 1.6351 Sc
1.6351 1.6351 4.9052 B
1.6351 4.9052 1.6351 B
4.9052 1.6351 1.6351 B
4.9052 4.9052 4.9052 B
```

---

# 2
Structure and calculated powder XRD pattern of BiIr15 (DFT lattice parameters and positions (GGA-PBE); Cu Ka).
Peak positions follow from Bragg's law for the DFT cell and can differ from measured ones.

The 10 most intense peaks (10° ≤ 2θ ≤ 90°), low angle first:
two_theta  I (rel.)
39.7  100
41.0  69
46.9  73
66.9  7
68.6  40
81.4  9
82.3  26
83.1  19
83.8  11
87.2  12

Cell and atoms:
```
BiIr15
1.0
3.8707 0.0000 0.0000
0.0000 3.8707 0.0000
0.0000 0.0000 44.5471
Bi Ir
2 30
Cartesian
0.9677 0.0000 6.9697 Bi
2.9030 0.0000 37.5775 Bi
0.9677 0.0000 11.5867 Ir
0.9677 0.0000 15.4872 Ir
0.9677 0.0000 19.3599 Ir
0.9677 0.0000 23.2450 Ir
0.9677 0.0000 27.1223 Ir
0.9677 0.0000 31.0061 Ir
0.9677 0.0000 34.8417 Ir
0.9677 1.9354 9.7062 Ir
0.9677 1.9354 13.5409 Ir
0.9677 1.9354 17.4243 Ir
0.9677 1.9354 21.3047 Ir
0.9677 1.9354 25.1818 Ir
0.9677 1.9354 29.0627 Ir
0.9677 1.9354 32.9520 Ir
0.9677 1.9354 36.7315 Ir
2.9030 0.0000 9.7054 Ir
2.9030 0.0000 13.5410 Ir
2.9030 0.0000 17.4248 Ir
2.9030 0.0000 21.3021 Ir
2.9030 0.0000 25.1872 Ir
2.9030 0.0000 29.0599 Ir
2.9030 0.0000 32.9604 Ir
2.9030 1.9354 7.8156 Ir
2.9030 1.9354 11.5951 Ir
2.9030 1.9354 15.4844 Ir
2.9030 1.9354 19.3653 Ir
2.9030 1.9354 23.2424 Ir
2.9030 1.9354 27.1228 Ir
2.9030 1.9354 31.0062 Ir
2.9030 1.9354 34.8409 Ir
```

---

# 3
Structure and calculated powder XRD pattern of Pa2Se4Cl (DFT lattice parameters and positions (GGA-PBE); Cu Ka).
Peak positions follow from Bragg's law for the DFT cell and can differ from measured ones.

The 10 most intense peaks (10° ≤ 2θ ≤ 90°), low angle first:
two_theta  I (rel.)
16.4  59
21.1  29
22.0  33
30.7  100
33.2  40
35.0  52
40.2  18
44.8  20
45.9  58
56.9  18

Cell and atoms:
```
Pa2Se4Cl
1.0
8.4074 0.0000 0.0000
0.0000 10.7815 0.0000
-0.0093 0.0000 4.0424
Pa Se Cl
4 8 2
Cartesian
2.1019 2.6954 0.0000 Pa
2.1019 8.0861 0.0000 Pa
6.3056 2.6954 0.0000 Pa
6.3056 8.0861 0.0000 Pa
-0.0046 2.3480 2.0212 Se
-0.0046 8.4335 2.0212 Se
1.6045 0.0000 0.0137 Se
2.5899 5.3907 4.0287 Se
4.1991 3.0427 2.0212 Se
4.1991 7.7387 2.0212 Se
5.8082 5.3907 0.0137 Se
6.7937 0.0000 4.0287 Se
-0.0046 5.3907 2.0212 Cl
4.1991 0.0000 2.0212 Cl
```

---

# 4
Structure and calculated powder XRD pattern of HoEr2Cu4Sn2Ge2 (DFT lattice parameters and positions (GGA-PBE); Cu Ka).
Peak positions follow from Bragg's law for the DFT cell and can differ from measured ones.

The 10 most intense peaks (10° ≤ 2θ ≤ 90°), low angle first:
two_theta  I (rel.)
26.7  15
33.9  30
34.5  75
35.1  100
41.8  34
44.9  17
51.9  12
54.8  15
71.9  12
79.7  16

Cell and atoms:
```
HoEr2Cu4Sn2Ge2
1.0
-2.1626 3.3414 7.2043
2.1626 -3.3414 7.2043
2.1626 3.3414 -7.2043
Ho Er Cu Sn Ge
1 2 4 2 2
Cartesian
0.0000 0.0000 0.0000 Ho
2.1626 0.0000 5.4076 Er
0.0000 3.3414 1.7967 Er
2.1626 1.2717 -2.2962 Cu
2.1626 1.2717 2.2962 Cu
0.0000 2.0697 4.9081 Cu
0.0000 2.0697 9.5005 Cu
0.0000 0.0000 3.1451 Sn
0.0000 0.0000 11.2635 Sn
2.1626 2.0672 0.0000 Ge
0.0000 1.2742 7.2043 Ge
```

---

# 5
Structure and calculated powder XRD pattern of AgAsIrO (DFT lattice parameters and positions (GGA-PBE); Cu Ka).
Peak positions follow from Bragg's law for the DFT cell and can differ from measured ones.

The 10 most intense peaks (10° ≤ 2θ ≤ 90°), low angle first:
two_theta  I (rel.)
13.0  59
26.1  37
28.7  100
35.2  54
41.8  65
47.6  33
49.9  32
52.2  28
52.3  20
77.0  21

Cell and atoms:
```
AgAsIrO
1.0
3.5002 0.0000 0.0000
0.0000 6.8316 0.0000
0.0000 0.0000 5.4978
Ag As Ir O
2 2 2 2
Cartesian
0.0000 0.3743 0.0000 Ag
0.0000 6.4573 2.7489 Ag
0.0000 2.1464 2.6509 As
0.0000 4.6852 5.3998 As
1.7501 3.3767 3.9637 Ir
1.7501 3.4549 1.2148 Ir
1.7501 1.9195 5.3750 O
1.7501 4.9121 2.6261 O
```